Diffraction record for NiSn4. The powder diffraction line list is computed, not measured: it uses a cell relaxed with GGA-PBE and λ = 1.5418 Å (Cu Kα).
Peak positions follow from Bragg's law for the DFT cell and can differ from measured ones.

Peak list (10 most intense, 2θ from 10° to 90°, most intense first)
| Position (°2θ) | Rel. int. | h k l |
| --- | --- | --- |
| 35.26 | 100.0 | 2 1 1 |
| 41.77 | 56.8 | 2 0 2 |
| 62.83 | 41.9 | 4 1 1 |
| 28.35 | 37.3 | 2 0 0 |
| 30.02 | 34.6 | 0 0 2 |
| 56.76 | 26.2 | 2 1 3 |
| 79.15 | 22.6 | 4 1 3 |
| 40.53 | 18.2 | 2 2 0 |
| 70.98 | 15.2 | 3 3 2 |
| 45.57 | 13.2 | 3 1 0 |

Crystal structure
Cell: 6.2954 6.2954 5.9524 Å, 90.00 90.00 90.00°
Space group P4/nbm (No. 125, origin choice 2)
Symmetry-distinct sites (fractional):
Ni  0.2500  0.2500  0.0000 x2
Sn  0.0604  0.5604  0.2538 x8

---

Diffraction record for Ni4Sn. The powder diffraction line list is computed, not measured: it uses a cell relaxed with GGA-PBE and λ = 1.5418 Å (Cu Kα).
Peak positions follow from Bragg's law for the DFT cell and can differ from measured ones.

Peak list (10 most intense, 2θ from 10° to 90°, most intense first)
| Position (°2θ) | Rel. int. | h k l |
| --- | --- | --- |
| 43.20 | 100.0 | 1 0 5 |
| 42.33 | 95.3 | 1 2 1 |
| 45.75 | 86.9 | 2 0 0 |
| 88.88 | 27.7 | 1 4 5 |
| 66.70 | 27.1 | 2 2 4 |
| 47.41 | 17.1 | 1 2 3 |
| 57.25 | 15.5 | 0 2 6 |
| 83.48 | 15.1 | 1 2 9 |
| 82.80 | 14.1 | 3 0 5 |
| 31.91 | 13.5 | 1 1 2 |

Crystal structure
Cell: 3.9689 5.1767 12.3270 Å, 90.00 90.00 90.00°
Space group Imma (No. 74)
Symmetry-distinct sites (fractional):
Ni  0.0000  0.0000  0.0000 x4
Ni  0.0000  0.0187  0.1976 x8
Ni  0.0000  0.2500  0.3918 x4
Sn  0.0000  0.2500  0.6086 x4

---

Diffraction record for NiSn. The powder diffraction line list is computed, not measured: it uses a cell relaxed with GGA-PBE and λ = 1.5418 Å (Cu Kα).
Peak positions follow from Bragg's law for the DFT cell and can differ from measured ones.

Peak list (10 most intense, 2θ from 10° to 90°, most intense first)
| Position (°2θ) | Rel. int. | h k l |
| --- | --- | --- |
| 43.35 | 100.0 | 2 4 1 |
| 42.26 | 79.5 | 0 10 1 |
| 43.91 | 48.0 | 0 0 2 |
| 40.61 | 36.9 | 2 6 0 |
| 31.06 | 31.2 | 1 4 1 |
| 30.49 | 22.1 | 0 6 1 |
| 61.35 | 21.3 | 2 6 2 |
| 29.55 | 19.9 | 1 3 1 |
| 32.91 | 18.5 | 1 5 1 |
| 87.13 | 18.3 | 4 10 1 |

Crystal structure
Cell: 5.2503 25.0124 4.1238 Å, 90.00 90.00 90.00°
Space group Pbam (No. 55)
Symmetry-distinct sites (fractional):
Ni  0.0000  0.0000  0.0000 x2
Ni  0.0000  0.5000  0.0000 x2
Ni  0.0081  0.1432  0.5000 x4
Ni  0.2268  0.3943  0.0000 x4
Ni  0.2297  0.2452  0.5000 x4
Sn  0.0104  0.3395  0.5000 x4
Sn  0.0362  0.7888  0.0000 x4
Sn  0.2299  0.0901  0.0000 x4
Sn  0.2436  0.9615  0.5000 x4

---

Diffraction record for Ni7Sn. The powder diffraction line list is computed, not measured: it uses a cell relaxed with GGA-PBE and λ = 1.5418 Å (Cu Kα).
Peak positions follow from Bragg's law for the DFT cell and can differ from measured ones.

Peak list (10 most intense, 2θ from 10° to 90°, most intense first)
| Position (°2θ) | Rel. int. | h k l |
| --- | --- | --- |
| 46.16 | 100.0 | 2 0 1 |
| 43.31 | 27.0 | 0 0 2 |
| 40.47 | 25.3 | 2 0 0 |
| 89.44 | 18.4 | 2 2 2 |
| 81.49 | 17.5 | 2 0 3 |
| 73.61 | 15.2 | 2 2 0 |
| 60.76 | 14.5 | 2 0 2 |
| 29.30 | 6.5 | 1 0 1 |
| 19.92 | 3.3 | 1 0 0 |
| 87.55 | 2.5 | 4 0 0 |

Crystal structure
Cell: 5.1470 5.1470 4.1786 Å, 90.00 90.00 120.00°
Space group P-6m2 (No. 187)
Symmetry-distinct sites (fractional):
Ni  0.0000  0.0000  0.0000 x1
Ni  0.0167  0.5083  0.0000 x3
Ni  0.1650  0.3301  0.5000 x3
Sn  0.6667  0.3333  0.5000 x1

---

Diffraction record for TbNi6Sn12. The powder diffraction line list is computed, not measured: it uses a cell relaxed with GGA-PBE and λ = 1.5418 Å (Cu Kα).
Peak positions follow from Bragg's law for the DFT cell and can differ from measured ones.

Peak list (10 most intense, 2θ from 10° to 90°, most intense first)
| Position (°2θ) | Rel. int. | h k l |
| --- | --- | --- |
| 35.87 | 100.0 | 3 2 1 |
| 30.17 | 32.0 | 3 1 0 |
| 60.97 | 26.5 | 5 3 2 |
| 57.35 | 25.4 | 5 0 3 |
| 33.13 | 21.9 | 2 2 2 |
| 49.62 | 19.5 | 4 1 3 |
| 59.18 | 14.4 | 6 0 0 |
| 71.17 | 14.3 | 5 3 4 |
| 88.58 | 14.2 | 6 6 0 |
| 40.87 | 12.0 | 3 3 0 |

Crystal structure
Cell: 9.3680 9.3680 9.3680 Å, 90.00 90.00 90.00°
Space group Im-3 (No. 204)
Symmetry-distinct sites (fractional):
Tb  0.0000  0.0000  0.0000 x2
Ni  0.0000  0.3667  0.5000 x12
Sn  0.0000  0.1745  0.3050 x24

---

Diffraction record for Tb2Ni3Sn5. The powder diffraction line list is computed, not measured: it uses a cell relaxed with GGA-PBE and λ = 1.5418 Å (Cu Kα).
Peak positions follow from Bragg's law for the DFT cell and can differ from measured ones.

Peak list (10 most intense, 2θ from 10° to 90°, most intense first)
| Position (°2θ) | Rel. int. | h k l |
| --- | --- | --- |
| 33.93 | 100.0 | 1 3 2 |
| 41.45 | 26.7 | 2 0 0 |
| 36.54 | 15.6 | 0 10 1 |
| 40.02 | 13.6 | 0 4 3 |
| 37.17 | 13.2 | 1 9 0 |
| 70.81 | 12.0 | 3 3 2 |
| 64.05 | 11.6 | 1 13 3 |
| 56.43 | 9.1 | 2 10 1 |
| 58.98 | 8.9 | 2 4 3 |
| 32.44 | 6.9 | 1 1 2 |

Crystal structure
Cell: 4.3563 26.1683 7.2000 Å, 90.00 90.00 90.00°
Space group Cmc2_1 (No. 36)
Symmetry-distinct sites (fractional):
Tb  0.0000  0.0258  0.0000 x4
Tb  0.0000  0.3280  0.0113 x4
Ni  0.0000  0.1056  0.7431 x4
Ni  0.0000  0.2777  0.5309 x4
Ni  0.0000  0.4510  0.7787 x4
Sn  0.0000  0.0932  0.3756 x4
Sn  0.0000  0.2027  0.8118 x4
Sn  0.0000  0.2131  0.2349 x4
Sn  0.0000  0.3795  0.5032 x4
Sn  0.0000  0.4519  0.1640 x4

---

Diffraction record for TbNi9Sn2. The powder diffraction line list is computed, not measured: it uses a cell relaxed with GGA-PBE and λ = 1.5418 Å (Cu Kα).
Peak positions follow from Bragg's law for the DFT cell and can differ from measured ones.

Peak list (10 most intense, 2θ from 10° to 90°, most intense first)
| Position (°2θ) | Rel. int. | h k l |
| --- | --- | --- |
| 39.29 | 100.0 | 3 1 1 |
| 44.58 | 69.2 | 2 1 2 |
| 43.85 | 33.8 | 3 2 1 |
| 34.53 | 26.1 | 3 1 0 |
| 45.53 | 24.5 | 4 1 0 |
| 43.12 | 24.0 | 2 0 2 |
| 35.99 | 20.8 | 2 2 1 |
| 68.00 | 18.4 | 3 1 3 |
| 36.84 | 17.7 | 0 0 2 |
| 49.63 | 14.8 | 4 2 0 |

Crystal structure
Cell: 8.2148 8.2148 4.8797 Å, 90.00 90.00 90.00°
Space group P4/mbm (No. 127)
Symmetry-distinct sites (fractional):
Tb  0.0000  0.0000  0.0000 x2
Ni  0.0000  0.5000  0.5000 x2
Ni  0.0656  0.2054  0.5000 x8
Ni  0.1738  0.6738  0.2458 x8
Sn  0.1281  0.3719  0.0000 x4

---

Diffraction record for Tb3Ni3Sn4. The powder diffraction line list is computed, not measured: it uses a cell relaxed with GGA-PBE and λ = 1.5418 Å (Cu Kα).
Peak positions follow from Bragg's law for the DFT cell and can differ from measured ones.

Peak list (10 most intense, 2θ from 10° to 90°, most intense first)
| Position (°2θ) | Rel. int. | h k l |
| --- | --- | --- |
| 35.20 | 100.0 | 3 2 1 |
| 29.61 | 64.6 | 3 1 0 |
| 42.38 | 37.2 | 4 2 0 |
| 59.76 | 21.9 | 6 1 1 |
| 72.87 | 18.6 | 5 5 2 |
| 46.65 | 17.4 | 4 2 2 |
| 61.48 | 15.6 | 6 2 0 |
| 48.67 | 14.9 | 4 3 1 |
| 44.55 | 14.5 | 3 3 2 |
| 63.17 | 10.9 | 5 4 1 |

Crystal structure
Cell: 9.5390 9.5390 9.5390 Å, 90.00 90.00 90.00°
Space group I-43d (No. 220)
Symmetry-distinct sites (fractional):
Tb  0.0000  0.2500  0.3750 x12
Ni  0.0000  0.2500  0.8750 x12
Sn  0.0747  0.0747  0.0747 x16

---

Diffraction record for TbNiSn2. The powder diffraction line list is computed, not measured: it uses a cell relaxed with GGA-PBE and λ = 1.5418 Å (Cu Kα).
Peak positions follow from Bragg's law for the DFT cell and can differ from measured ones.

Peak list (10 most intense, 2θ from 10° to 90°, most intense first)
| Position (°2θ) | Rel. int. | h k l |
| --- | --- | --- |
| 33.46 | 100.0 | 2 1 4 |
| 34.80 | 85.1 | 5 1 1 |
| 40.40 | 54.7 | 0 2 0 |
| 38.14 | 34.2 | 6 0 3 |
| 29.22 | 26.4 | 2 1 3 |
| 35.76 | 25.9 | 3 1 4 |
| 56.77 | 21.4 | 6 2 3 |
| 32.01 | 18.2 | 1 1 4 |
| 30.46 | 17.4 | 4 1 1 |
| 54.31 | 15.8 | 3 2 5 |

Crystal structure
Cell: 16.1514 4.4651 14.7108 Å, 90.00 90.00 90.00°
Space group Pnma (No. 62)
Symmetry-distinct sites (fractional):
Tb  0.1257  0.2500  0.2297 x4
Tb  0.1457  0.7500  0.6062 x4
Tb  0.1504  0.2500  0.9718 x4
Ni  0.0514  0.7500  0.1044 x4
Ni  0.1974  0.2500  0.7477 x4
Ni  0.2008  0.2500  0.4559 x4
Sn  0.0206  0.7500  0.9208 x4
Sn  0.0344  0.2500  0.7414 x4
Sn  0.0440  0.2500  0.4513 x4
Sn  0.1732  0.7500  0.3724 x4
Sn  0.1856  0.7500  0.8243 x4
Sn  0.2134  0.7500  0.1054 x4

---

Diffraction record for Tb2Ni7Sn12. The powder diffraction line list is computed, not measured: it uses a cell relaxed with GGA-PBE and λ = 1.5418 Å (Cu Kα).
Peak positions follow from Bragg's law for the DFT cell and can differ from measured ones.

Peak list (10 most intense, 2θ from 10° to 90°, most intense first)
| Position (°2θ) | Rel. int. | h k l |
| --- | --- | --- |
| 33.11 | 100.0 | 1 2 1 |
| 44.20 | 28.2 | 4 1 0 |
| 43.32 | 15.5 | 0 0 2 |
| 63.60 | 12.2 | 5 -4 2 |
| 72.98 | 10.1 | 3 -1 3 |
| 41.93 | 10.0 | 2 3 0 |
| 74.24 | 9.6 | 3 5 1 |
| 40.82 | 9.1 | 4 -3 1 |
| 38.33 | 7.4 | 4 0 0 |
| 56.32 | 7.3 | 6 -2 1 |

Crystal structure
Cell: 10.8450 10.8450 4.1777 Å, 90.00 90.00 120.00°
Space group P-3 (No. 147)
Symmetry-distinct sites (fractional):
Tb  0.3333  0.6667  0.2426 x2
Ni  0.0000  0.0000  0.0000 x1
Ni  0.1123  0.4096  0.7357 x6
Sn  0.0734  0.6241  0.7529 x6
Sn  0.1156  0.8553  0.2478 x6

---

Diffraction record for Ni4Sn2Te. The powder diffraction line list is computed, not measured: it uses a cell relaxed with GGA-PBE and λ = 1.5418 Å (Cu Kα).
Peak positions follow from Bragg's law for the DFT cell and can differ from measured ones.

Peak list (10 most intense, 2θ from 10° to 90°, most intense first)
| Position (°2θ) | Rel. int. | h k l |
| --- | --- | --- |
| 38.42 | 100.0 | 2 0 0 |
| 26.91 | 87.1 | 1 1 0 |
| 39.55 | 71.6 | 1 0 5 |
| 56.32 | 50.4 | 2 1 5 |
| 13.58 | 41.6 | 0 0 2 |
| 28.00 | 37.6 | 1 0 3 |
| 38.75 | 34.8 | 1 1 4 |
| 55.47 | 33.8 | 2 2 0 |
| 57.87 | 21.9 | 2 0 6 |
| 48.21 | 18.1 | 2 1 3 |

Crystal structure
Cell: 4.6856 4.6856 13.0396 Å, 90.00 90.00 90.00°
Space group I4/mmm (No. 139)
Symmetry-distinct sites (fractional):
Ni  0.0000  0.0000  0.1829 x4
Ni  0.0000  0.5000  0.0000 x4
Sn  0.0000  0.0000  0.3720 x4
Te  0.0000  0.0000  0.0000 x2